Diffraction record for Ho4NbN4. The powder diffractogram is computed, not measured: it uses a GGA-PBE-relaxed structure and Cu Kα (weighted mean of Kα1 and Kα2).
Kinematic intensities with the Lorentz-polarization factor, no thermal factor.

Main lines, sorted by position (5° ≤ 2θ ≤ 70°):
2θ = 32.44°, rel. 100, hkl 1 2 1; 2θ = 36.43°, rel. 24, hkl 0 0 2; 2θ = 38.21°, rel. 42, hkl 3 1 0; 2θ = 53.82°, rel. 31, hkl 3 1 2; 2θ = 55.15°, rel. 14, hkl 2 4 0; 2θ = 63.06°, rel. 16, hkl 1 2 3; 2θ = 65.45°, rel. 27, hkl 5 0 1; 2θ = 67.91°, rel. 15, hkl 2 4 2

Cell and atoms:
```
data_Ho4NbN4
_symmetry_space_group_name_H-M 'I 4/m'
_symmetry_Int_Tables_number 87
_symmetry_space_group_name_Hall '-I 4'
_cell_length_a 7.448
_cell_length_b 7.448
_cell_length_c 4.932
_cell_angle_alpha 90.00
_cell_angle_beta 90.00
_cell_angle_gamma 90.00
loop_
_atom_site_label
_atom_site_type_symbol
_atom_site_fract_x
_atom_site_fract_y
_atom_site_fract_z
_atom_site_occupancy
Ho1 Ho 0.106 0.696 0.000 1
Nb1 Nb 0.000 0.000 0.500 1
N1 N 0.092 0.714 0.500 1
```